(1)
Calculated PXRD pattern of PrH for λ = 1.5418 Å (Cu Kα), from a DFT-relaxed cell (GGA-PBE, the Materials Project).

Largest 10 diffraction maxima, by intensity, 5 to 70 degrees two-theta:
2θ 30.2, 2.963 Å, rel. 100, (1 0 1)
2θ 26.3, 3.388 Å, rel. 25, (1 0 0)
2θ 29.2, 3.055 Å, rel. 25, (0 0 2)
2θ 55.8, 1.647 Å, rel. 24, (1 1 2)
2θ 52.4, 1.746 Å, rel. 22, (1 0 3)
2θ 46.4, 1.956 Å, rel. 21, (1 1 0)
2θ 56.4, 1.632 Å, rel. 17, (2 0 1)
2θ 39.7, 2.269 Å, rel. 16, (1 0 2)
2θ 62.7, 1.481 Å, rel. 4, (2 0 2)
2θ 67.2, 1.393 Å, rel. 3, (1 0 4)

```
data_PrH
_chemical_formula_sum 'Pr2 H2'
_cell_length_a 3.9117
_cell_length_b 3.9117
_cell_length_c 6.1108
_cell_angle_alpha 90.00
_cell_angle_beta 90.00
_cell_angle_gamma 120.00
_space_group_name_H-M_alt 'P 63 m c'
_space_group_IT_number 186
_space_group_name_Hall 'P 6c -2c'
loop_
_atom_site_label
_atom_site_fract_x
_atom_site_fract_y
_atom_site_fract_z
Pr1 0.3333 0.6667 0.0000
H1 0.3333 0.6667 0.6054
```



(2)
Calculated PXRD pattern of Sn3P for λ = 1.5418 Å (Cu Kα), from a DFT-relaxed cell (GGA-PBE, the Materials Project).

Largest 10 diffraction maxima, by intensity, 5 to 70 degrees two-theta:
2θ 33.4, 2.679 Å, rel. 100, (1 1 1)
2θ 38.8, 2.320 Å, rel. 50, (2 0 0)
2θ 66.9, 1.399 Å, rel. 42, (3 1 1)
2θ 56.0, 1.641 Å, rel. 35, (2 2 0)
2θ 19.1, 4.641 Å, rel. 14, (1 0 0)
2θ 27.2, 3.282 Å, rel. 13, (1 1 0)
2θ 43.6, 2.075 Å, rel. 8, (2 1 0)
2θ 48.0, 1.895 Å, rel. 6, (2 1 1)
2θ 59.8, 1.547 Å, rel. 4, (3 0 0)
2θ 63.4, 1.468 Å, rel. 3, (3 1 0)

```
data_Sn3P
_chemical_formula_sum 'Sn3 P1'
_cell_length_a 4.6409
_cell_length_b 4.6409
_cell_length_c 4.6409
_cell_angle_alpha 90.00
_cell_angle_beta 90.00
_cell_angle_gamma 90.00
_space_group_name_H-M_alt 'P m -3 m'
_space_group_IT_number 221
_space_group_name_Hall '-P 4 2 3'
loop_
_atom_site_label
_atom_site_fract_x
_atom_site_fract_y
_atom_site_fract_z
Sn1 0.0000 0.0000 0.5000
P1 0.5000 0.5000 0.5000
```



(3)
Calculated PXRD pattern of BeCl2 for λ = 1.5418 Å (Cu Kα), from a DFT-relaxed cell (GGA-PBE, the Materials Project).

Largest 10 diffraction maxima, by intensity, 5 to 70 degrees two-theta:
2θ 30.0, 2.978 Å, rel. 100, (2 2 4)
2θ 23.1, 3.850 Å, rel. 35, (2 1 3)
2θ 14.9, 5.955 Å, rel. 29, (1 1 2)
2θ 33.5, 2.678 Å, rel. 22, (4 1 1)
2θ 32.1, 2.791 Å, rel. 17, (4 0 0)
2θ 39.7, 2.268 Å, rel. 16, (0 0 8)
2θ 38.2, 2.355 Å, rel. 16, (3 2 5)
2θ 27.1, 3.290 Å, rel. 14, (3 1 2)
2θ 32.5, 2.756 Å, rel. 12, (3 2 3)
2θ 48.6, 1.873 Å, rel. 11, (4 1 7)

```
data_BeCl2
_chemical_formula_sum 'Be32 Cl64'
_cell_length_a 11.1658
_cell_length_b 11.1658
_cell_length_c 18.1415
_cell_angle_alpha 90.00
_cell_angle_beta 90.00
_cell_angle_gamma 90.00
_space_group_name_H-M_alt 'I 41/a c d'
_space_group_IT_number 142
loop_
_space_group_symop_operation_xyz
'x,y,z'
'-x,-y,-z'
'-y+1/4,x+3/4,z+1/4'
'y+1/4,-x+3/4,-z+1/4'
'-x+1/2,-y,z+1/2'
'x+1/2,y,-z+1/2'
'y+1/4,-x+1/4,z+3/4'
'-y+1/4,x+1/4,-z+3/4'
'x,-y,-z+1/2'
'-x,y,z+1/2'
'-y+1/4,-x+1/4,-z+1/4'
'y+1/4,x+1/4,z+1/4'
'-x+1/2,y,-z'
'x+1/2,-y,z'
'y+1/4,x+3/4,-z+3/4'
'-y+1/4,-x+3/4,z+3/4'
'x+1/2,y+1/2,z+1/2'
'-x+1/2,-y+1/2,-z+1/2'
'-y+3/4,x+1/4,z+3/4'
'y+3/4,-x+1/4,-z+3/4'
'-x,-y+1/2,z'
'x,y+1/2,-z'
'y+3/4,-x+3/4,z+1/4'
'-y+3/4,x+3/4,-z+1/4'
'x+1/2,-y+1/2,-z'
'-x+1/2,y+1/2,z'
'-y+3/4,-x+3/4,-z+3/4'
'y+3/4,x+3/4,z+3/4'
'-x,y+1/2,-z+1/2'
'x,-y+1/2,z+1/2'
'y+3/4,x+1/4,-z+1/4'
'-y+3/4,-x+1/4,z+1/4'
loop_
_atom_site_label
_atom_site_fract_x
_atom_site_fract_y
_atom_site_fract_z
Be1 0.0765 0.1249 0.3112
Cl1 0.0000 0.2500 0.0058
Cl2 0.0479 0.0432 0.8753
Cl3 0.1663 0.0000 0.2500
```



(4)
Calculated PXRD pattern of InGe3 for λ = 1.5418 Å (Cu Kα), from a DFT-relaxed cell (GGA-PBE, the Materials Project).

Largest 10 diffraction maxima, by intensity, 5 to 70 degrees two-theta:
2θ 35.1, 2.557 Å, rel. 100, (1 1 2)
2θ 42.4, 2.134 Å, rel. 29, (2 0 0)
2θ 57.7, 1.597 Å, rel. 23, (2 0 4)
2θ 37.4, 2.407 Å, rel. 21, (0 0 4)
2θ 65.9, 1.417 Å, rel. 15, (1 1 6)
2θ 61.4, 1.509 Å, rel. 9, (2 2 0)
2θ 22.8, 3.902 Å, rel. 4, (1 0 1)
2θ 18.4, 4.814 Å, rel. 2, (0 0 2)
2θ 35.0, 2.565 Å, rel. 1, (1 0 3)
2θ 29.6, 3.018 Å, rel. 1, (1 1 0)

```
data_InGe3
_chemical_formula_sum 'In2 Ge6'
_cell_length_a 4.2680
_cell_length_b 4.2680
_cell_length_c 9.6275
_cell_angle_alpha 90.00
_cell_angle_beta 90.00
_cell_angle_gamma 90.00
_space_group_name_H-M_alt 'I 4/m m m'
_space_group_IT_number 139
_space_group_name_Hall '-I 4 2'
loop_
_atom_site_label
_atom_site_fract_x
_atom_site_fract_y
_atom_site_fract_z
In1 0.0000 0.0000 0.0000
Ge1 0.0000 0.0000 0.5000
Ge2 0.0000 0.5000 0.2500
```